No. 1
Cs3Cd6Pt: calculated XRD peak list (Cu Kα), based on a DFT-relaxed cell (PBE, Alexandria).
Lines closer than 0.1° are merged.

Crystal structure
```
data_Cs3Cd6Pt
_cell_length_a 9.2986
_cell_length_b 13.2440
_cell_length_c 7.9954
_cell_angle_alpha 90.00
_cell_angle_beta 122.30
_cell_angle_gamma 90.00
_space_group_name_H-M_alt 'C 1 2/m 1'
_space_group_IT_number 12
_space_group_name_Hall '-C 2y'
loop_
_atom_site_label
_atom_site_type_symbol
_atom_site_fract_x
_atom_site_fract_y
_atom_site_fract_z
Cs1 Cs 0.0000 0.0000 0.0000
Cs2 Cs 0.0000 0.3249 0.5000
Cd1 Cd 0.1781 0.3299 0.0450
Cd2 Cd 0.1821 0.0000 0.6459
Pt1 Pt 0.0000 0.5000 0.0000
```

Most intense lines, 10 to 90 degrees two-theta, in order of rising 2θ:
2θ/deg  Rel. int.  h k l
13.10  1000  0 0 1
13.62  932  1 1 -1
23.11  690  1 3 0
23.40  986  2 2 -1
23.85  717  2 0 -2
26.38  900  0 0 2
30.29  834  1 3 -2
34.71  955  2 2 1
40.89  548  0 6 0
41.68  445  3 3 -3

***

No. 2
CsRb2Cd9: calculated XRD peak list (Cu Kα), based on a DFT-relaxed cell (PBE, Alexandria).
Lines closer than 0.1° are merged.

Crystal structure
```
data_CsRb2Cd9
_cell_length_a 6.4840
_cell_length_b 6.4840
_cell_length_c 31.5558
_cell_angle_alpha 90.00
_cell_angle_beta 90.00
_cell_angle_gamma 120.00
_space_group_name_H-M_alt 'R -3 m'
_space_group_IT_number 166
_space_group_name_Hall '-R 3 2"'
loop_
_atom_site_label
_atom_site_type_symbol
_atom_site_fract_x
_atom_site_fract_y
_atom_site_fract_z
Cs1 Cs 0.0000 0.0000 0.0000
Rb1 Rb 0.0000 0.0000 0.1447
Cd1 Cd 0.0000 0.0000 0.3343
Cd2 Cd 0.0000 0.0000 0.5000
Cd3 Cd 0.0034 0.5017 0.9187
```

Most intense lines, 10 to 90 degrees two-theta, in order of rising 2θ:
2θ/deg  Rel. int.  h k l
27.51  174  1 1 0
27.64  140  0 1 8
32.00  246  0 2 1
32.43  1000  1 1 6
34.10  244  0 0 12
34.98  256  2 0 5
37.76  174  0 2 7
51.84  250  3 0 6
56.79  222  2 2 0
67.93  184  2 2 12

***

No. 3
CsRbCd4: calculated XRD peak list (Cu Kα), based on a DFT-relaxed cell (PBE, Alexandria).
Lines closer than 0.1° are merged.

Crystal structure
```
data_CsRbCd4
_cell_length_a 5.4281
_cell_length_b 9.0924
_cell_length_c 8.9937
_cell_angle_alpha 90.00
_cell_angle_beta 90.00
_cell_angle_gamma 90.00
_space_group_name_H-M_alt 'I m m 2'
_space_group_IT_number 44
_space_group_name_Hall 'I 2 -2'
loop_
_atom_site_label
_atom_site_type_symbol
_atom_site_fract_x
_atom_site_fract_y
_atom_site_fract_z
Cs1 Cs 0.0000 0.0000 0.0000
Rb1 Rb 0.0000 0.5000 0.8651
Cd1 Cd 0.0000 0.1728 0.5915
Cd2 Cd 0.0000 0.3258 0.2655
```

Most intense lines, 10 to 90 degrees two-theta, in order of rising 2θ:
2θ/deg  Rel. int.  h k l
13.85  195  0 1 1
27.45  907  1 2 1
27.56  1000  1 1 2
27.91  275  0 2 2
31.14  676  0 3 1
33.00  571  2 0 0
34.17  618  1 0 3
46.01  446  2 3 1
53.48  418  1 3 4
55.65  255  3 1 2

***

No. 4
CsRb3Cd8: calculated XRD peak list (Cu Kα), based on a DFT-relaxed cell (PBE, Alexandria).
Lines closer than 0.1° are merged.

Crystal structure
```
data_CsRb3Cd8
_cell_length_a 6.5538
_cell_length_b 6.5538
_cell_length_c 33.4300
_cell_angle_alpha 90.00
_cell_angle_beta 90.00
_cell_angle_gamma 120.00
_space_group_name_H-M_alt 'R 3 m'
_space_group_IT_number 160
_space_group_name_Hall 'R 3 -2"'
loop_
_atom_site_label
_atom_site_type_symbol
_atom_site_fract_x
_atom_site_fract_y
_atom_site_fract_z
Cs1 Cs 0.0000 0.0000 0.0000
Rb1 Rb 0.0000 0.0000 0.1254
Rb2 Rb 0.0000 0.0000 0.5005
Rb3 Rb 0.0000 0.0000 0.6250
Cd1 Cd 0.0000 0.0000 0.3113
Cd2 Cd 0.0000 0.0000 0.8127
Cd3 Cd 0.0003 0.5001 0.0642
Cd4 Cd 0.1681 0.3362 0.8949
```

Most intense lines, 10 to 90 degrees two-theta, in order of rising 2θ:
2θ/deg  Rel. int.  h k l
31.05  527  1 0 10
31.68  1000  1 1 6
31.99  487  2 0 2
32.13  249  0 0 12
33.34  681  0 2 4
50.55  259  2 1 10
50.98  252  3 0 6
54.54  321  0 2 16
56.14  296  2 2 0
66.15  228  2 2 12

***

No. 5
Cs9Rb4Cd: calculated XRD peak list (Cu Kα), based on a DFT-relaxed cell (PBE, Alexandria).
Lines closer than 0.1° are merged.

Crystal structure
```
data_Cs9Rb4Cd
_cell_length_a 14.6717
_cell_length_b 14.6717
_cell_length_c 14.9105
_cell_angle_alpha 90.00
_cell_angle_beta 90.00
_cell_angle_gamma 120.00
_space_group_name_H-M_alt 'P 63/m m c'
_space_group_IT_number 194
_space_group_name_Hall '-P 6c 2c'
loop_
_atom_site_label
_atom_site_type_symbol
_atom_site_fract_x
_atom_site_fract_y
_atom_site_fract_z
Cs1 Cs 0.0693 0.5346 0.2500
Cs2 Cs 0.2118 0.4236 0.5634
Rb1 Rb 0.0000 0.0000 0.0000
Rb2 Rb 0.1127 0.2255 0.2500
Cd1 Cd 0.3333 0.6667 0.7500
```

Most intense lines, 10 to 90 degrees two-theta, in order of rising 2θ:
2θ/deg  Rel. int.  h k l
18.35  199  2 0 2
19.18  249  1 0 3
21.81  676  3 0 1
22.02  1000  2 1 2
22.72  456  2 0 3
35.71  316  3 2 3
36.75  287  3 3 0
36.86  374  3 0 5
37.39  239  5 0 2
43.64  172  5 1 3

***

No. 6
Cs9Rb6Cd: calculated XRD peak list (Cu Kα), based on a DFT-relaxed cell (PBE, Alexandria).
Lines closer than 0.1° are merged.

Crystal structure
```
data_Cs9Rb6Cd
_cell_length_a 12.1308
_cell_length_b 12.1308
_cell_length_c 21.7072
_cell_angle_alpha 90.00
_cell_angle_beta 90.00
_cell_angle_gamma 90.00
_space_group_name_H-M_alt 'I 4/m'
_space_group_IT_number 87
_space_group_name_Hall '-I 4'
loop_
_atom_site_label
_atom_site_type_symbol
_atom_site_fract_x
_atom_site_fract_y
_atom_site_fract_z
Cs1 Cs 0.0000 0.0000 0.0000
Cs2 Cs 0.1139 0.3072 0.1597
Rb1 Rb 0.0000 0.0000 0.3259
Rb2 Rb 0.0964 0.2965 0.5000
Cd1 Cd 0.0000 0.0000 0.5000
```

Most intense lines, 10 to 90 degrees two-theta, in order of rising 2θ:
2θ/deg  Rel. int.  h k l
20.46  1000  2 1 3
23.19  478  1 3 0
24.61  204  0 0 6
33.02  187  4 2 0
34.06  339  1 3 6
39.16  335  5 0 3
40.95  145  2 1 9
41.61  185  4 2 6
53.58  119  5 0 9
59.65  119  7 1 6